Diffraction record for Sm12SnGe4S28. The powder XRD pattern is simulated, not measured: it uses a cell relaxed with PBE and Cu Ka.

Atomic structure:
abc: 10.0819 11.6438 11.6583
angles: 60.18 64.40 64.38
Space group P1 (No. 1)
One atom of each set of equivalent atoms:
Sm1 0.0000 0.0000 0.0000
Sm2 0.0001 0.4865 0.5338
Sm3 0.2540 0.4741 0.9859
Sm4 0.2661 0.9617 0.5046
Sm5 0.3513 0.1938 0.6990
Sm6 0.3561 0.6615 0.2096
Sm7 0.4769 0.5335 0.5810
Sm8 0.4956 0.0508 0.0531
Sm9 0.7609 0.9162 0.4610
Sm10 0.7847 0.4263 0.9362
Sm11 0.8930 0.3055 0.3031
Sm12 0.9065 0.7684 0.8198
Sn1 0.1273 0.0058 0.2333
Ge1 0.4620 0.2303 0.3396
Ge2 0.4617 0.7307 0.8435
Ge3 0.7940 0.6556 0.2597
Ge4 0.7952 0.1488 0.7499
S1 0.0243 0.9908 0.7542
S2 0.0271 0.5049 0.2665
S3 0.0326 0.8111 0.2772
S4 0.0351 0.2815 0.7876
S5 0.2204 0.1999 0.1994
S6 0.2242 0.6998 0.7027
S7 0.2290 0.7258 0.9951
S8 0.2307 0.2242 0.4911
S9 0.2891 0.9934 0.9936
S10 0.2926 0.4879 0.4907
S11 0.3719 0.8395 0.3046
S12 0.3942 0.3170 0.8249
S13 0.4558 0.9254 0.6599
S14 0.4674 0.4132 0.1458
S15 0.5470 0.5377 0.8046
S16 0.5479 0.0337 0.3043
S17 0.6063 0.6934 0.9671
S18 0.6112 0.1954 0.4585
S19 0.6381 0.5391 0.3007
S20 0.6540 0.0226 0.7860
S21 0.7067 0.6873 0.4569
S22 0.7167 0.1887 0.9434
S23 0.7946 0.8410 0.0674
S24 0.7957 0.3395 0.5651
S25 0.8687 0.6670 0.6700
S26 0.8768 0.1654 0.1639
S27 0.9591 0.4976 0.0096
S28 0.9775 0.0112 0.4727

The 12 most intense peaks (2θ = 10–90°), sorted by position:
index	two_theta	intensity
1 0 2	18.27	180
2 2 2	20.34	293
1 -2 0	23.31	281
2 1 3	25.47	1000
1 3 3	27.02	196
0 2 -2	30.61	177
4 2 2	35.62	394
2 4 0	37.03	328
-3 1 1	37.12	311
4 0 2	40.31	288
1 5 1	41.28	221
1 6 4	50.37	206

Diffraction record for Ga2NiN3. The powder XRD pattern is simulated, not measured: it uses a cell relaxed with PBE and Cu Ka.

Atomic structure:
abc: 9.5323 5.5396 5.1928
angles: 90.00 90.00 90.00
Space group Cmc2_1 (No. 36)
One atom of each set of equivalent atoms:
Ga1 0.1675 0.1631 0.0000
Ni1 0.0000 0.3518 0.5061
N1 0.0000 0.3331 0.8636
N2 0.1641 0.1697 0.3765

The 12 most intense peaks (2θ = 10–90°), sorted by position:
index	two_theta	intensity
0 2 0	32.32	173
3 1 0	32.48	536
0 0 2	34.55	563
0 2 1	36.78	609
3 1 1	36.92	1000
3 1 2	48.15	250
3 3 0	57.75	308
6 0 0	58.06	156
0 2 3	63.42	493
3 3 2	69.06	262
6 0 2	69.34	134
6 2 1	70.73	175

Diffraction record for La7N5. The powder XRD pattern is simulated, not measured: it uses a cell relaxed with PBE and Cu Ka.

Atomic structure:
abc: 12.5098 3.5766 13.9974
angles: 90.00 101.31 90.00
Space group C2/m (No. 12)
One atom of each set of equivalent atoms:
La1 0.0000 0.0000 0.0000
La2 0.0750 0.5000 0.3292
La3 0.1468 0.0000 0.5610
La4 0.2185 0.0000 0.8859
N1 0.0000 0.5000 0.5000
N2 0.1403 0.5000 0.9707
N3 0.1840 0.0000 0.4010

The 12 most intense peaks (2θ = 10–90°), sorted by position:
index	two_theta	intensity
0 0 2	12.90	445
2 0 3	26.48	752
2 0 -4	27.15	1000
1 1 -2	28.42	206
4 0 -1	28.55	703
1 1 2	29.73	247
1 1 -3	31.72	491
3 1 -2	34.17	262
3 1 1	34.78	225
3 1 2	37.43	284
1 1 6	49.05	202
2 2 3	58.46	215

Diffraction record for Pr2Be4Ir5. The powder XRD pattern is simulated, not measured: it uses a cell relaxed with PBE and Cu Ka.

Atomic structure:
abc: 5.7327 9.6581 12.4870
angles: 90.00 90.00 90.00
Space group Fmmm (No. 69)
One atom of each set of equivalent atoms:
Pr1 0.0000 0.0000 0.1358
Be1 0.0000 0.1627 0.3702
Ir1 0.0000 0.0000 0.5000
Ir2 0.2500 0.2500 0.0000
Ir3 0.2500 0.2500 0.2500

The 12 most intense peaks (2θ = 10–90°), sorted by position:
index	two_theta	intensity
1 1 3	28.06	463
0 0 4	28.59	263
0 2 4	34.20	550
2 2 0	36.45	1000
0 4 0	37.24	470
1 3 3	38.69	226
2 0 4	42.83	322
2 2 4	46.97	311
0 4 4	47.61	180
2 4 4	58.03	275
2 6 0	66.64	184
2 2 8	71.55	266

Diffraction record for K2NpMnSe4. The powder XRD pattern is simulated, not measured: it uses a cell relaxed with PBE and Cu Ka.

Atomic structure:
abc: 14.8394 8.5949 8.5245
angles: 90.00 124.97 90.00
Space group C2/m (No. 12)
One atom of each set of equivalent atoms:
K1 0.0000 0.0000 0.0000
K2 0.0000 0.0000 0.5000
K3 0.2500 0.2500 0.0000
Np1 0.2500 0.2500 0.5000
Mn1 0.0000 0.5000 0.0000
Mn2 0.0000 0.5000 0.5000
Se1 0.0168 0.2938 0.2607
Se2 0.2344 0.5000 0.7053
Se3 0.2381 0.5000 0.2687

The 12 most intense peaks (2θ = 10–90°), sorted by position:
index	two_theta	intensity
2 0 -1	12.68	981
2 0 0	14.57	177
2 2 -1	24.32	326
4 0 0	29.38	524
2 2 -2	29.52	1000
4 2 -3	38.71	192
2 2 2	42.09	512
6 2 -2	42.16	347
4 0 -4	42.41	178
6 2 -1	44.09	178
0 0 4	52.43	177
6 2 2	69.17	178

Diffraction record for EuMg2Cu. The powder XRD pattern is simulated, not measured: it uses a cell relaxed with PBE and Cu Ka.

Atomic structure:
abc: 3.3474 3.3474 8.2255
angles: 90.00 90.00 90.00
Space group P4/mmm (No. 123)
One atom of each set of equivalent atoms:
Eu1 0.0000 0.0000 0.0000
Mg1 0.5000 0.5000 0.3189
Cu1 0.0000 0.0000 0.5000

The 12 most intense peaks (2θ = 10–90°), sorted by position:
index	two_theta	intensity
0 0 1	10.76	199
0 0 2	21.61	439
1 0 0	26.63	433
1 0 1	28.79	269
1 0 2	34.55	1000
1 1 0	38.02	440
1 1 2	44.15	273
1 0 4	52.21	245
2 0 0	54.85	148
1 1 4	59.59	250
2 1 2	66.46	285
2 1 4	79.13	141